For NaTiF4, DFT lattice parameters and positions (PBE) gives the computed X-ray diffraction stick pattern in this record (Cu Kα).

Structural model:
```
data_NaTiF4
_chemical_formula_sum 'Na4 Ti4 F16'
_space_group_name_H-M_alt 'P 1'
_space_group_IT_number 1
_space_group_name_Hall 'P 1'
_cell_length_a 8.1083
_cell_length_b 5.4663
_cell_length_c 7.6895
_cell_angle_alpha 90.00
_cell_angle_beta 101.47
_cell_angle_gamma 90.00
loop_
_atom_site_label
_atom_site_type_symbol
_atom_site_fract_x
_atom_site_fract_y
_atom_site_fract_z
_atom_site_occupancy
Na1 Na 0.1350 0.2197 0.3887 1
Na2 Na 0.1350 0.2803 0.8887 1
Na3 Na 0.8650 0.7197 0.1113 1
Na4 Na 0.8650 0.7803 0.6113 1
Ti1 Ti 0.3301 0.7427 0.2011 1
Ti2 Ti 0.3301 0.7573 0.7011 1
Ti3 Ti 0.6699 0.2427 0.2989 1
Ti4 Ti 0.6699 0.2573 0.7989 1
F1 F 0.1283 0.5425 0.1880 1
F2 F 0.1283 0.9575 0.6880 1
F3 F 0.1895 0.0225 0.1243 1
F4 F 0.1895 0.4775 0.6243 1
F5 F 0.3304 0.6442 0.9504 1
F6 F 0.3304 0.8558 0.4504 1
F7 F 0.4608 0.0615 0.7933 1
F8 F 0.4608 0.4385 0.2933 1
F9 F 0.5392 0.5615 0.7067 1
F10 F 0.5392 0.9385 0.2067 1
F11 F 0.6696 0.1442 0.5496 1
F12 F 0.6696 0.3558 0.0496 1
F13 F 0.8105 0.5225 0.3757 1
F14 F 0.8105 0.9775 0.8757 1
F15 F 0.8717 0.0425 0.3120 1
F16 F 0.8717 0.4575 0.8120 1
```

Top 10 peaks for 10° ≤ 2θ ≤ 90°, low angle first:
2θ (°), I_rel, h k l
19.71, 679, 1 1 0
22.38, 242, 2 0 0
23.61, 385, 0 0 2
24.04, 270, 1 0 -2
27.76, 1000, 2 1 0
28.78, 396, 0 1 2
37.49, 392, 3 1 -1
39.04, 256, 1 1 -3
47.32, 268, 1 0 -4
49.44, 350, 2 2 2

---

For RbAs2Ru2, DFT lattice parameters and positions (PBE) gives the computed X-ray diffraction stick pattern in this record (Cu Kα).

Structural model:
```
data_RbAs2Ru2
_chemical_formula_sum 'Rb2 As4 Ru4'
_space_group_name_H-M_alt 'P 1'
_space_group_IT_number 1
_space_group_name_Hall 'P 1'
_cell_length_a 4.1539
_cell_length_b 4.1539
_cell_length_c 13.7712
_cell_angle_alpha 90.00
_cell_angle_beta 90.00
_cell_angle_gamma 90.00
loop_
_atom_site_label
_atom_site_type_symbol
_atom_site_fract_x
_atom_site_fract_y
_atom_site_fract_z
_atom_site_occupancy
Rb1 Rb 0.0000 0.0000 0.0000 1
Rb2 Rb 0.5000 0.5000 0.5000 1
As1 As 0.0000 0.0000 0.3424 1
As2 As 0.0000 0.0000 0.6576 1
As3 As 0.5000 0.5000 0.1576 1
As4 As 0.5000 0.5000 0.8424 1
Ru1 Ru 0.0000 0.5000 0.2500 1
Ru2 Ru 0.0000 0.5000 0.7500 1
Ru3 Ru 0.5000 0.0000 0.2500 1
Ru4 Ru 0.5000 0.0000 0.7500 1
```

Top 10 peaks for 10° ≤ 2θ ≤ 90°, low angle first:
2θ (°), I_rel, h k l
12.86, 1000, 0 0 2
25.88, 205, 0 0 4
28.99, 990, 1 0 3
33.16, 647, 1 1 2
40.36, 356, 1 1 4
43.58, 560, 2 0 0
50.46, 695, 1 1 6
53.19, 413, 0 0 8
63.33, 180, 2 2 0
85.09, 306, 3 1 6

---

For YZn, DFT lattice parameters and positions (PBE) gives the computed X-ray diffraction stick pattern in this record (Cu Kα).

Structural model:
```
data_YZn
_chemical_formula_sum 'Y1 Zn1'
_space_group_name_H-M_alt 'P 1'
_space_group_IT_number 1
_space_group_name_Hall 'P 1'
_cell_length_a 3.5854
_cell_length_b 3.5854
_cell_length_c 3.5854
_cell_angle_alpha 90.00
_cell_angle_beta 90.00
_cell_angle_gamma 90.00
loop_
_atom_site_label
_atom_site_type_symbol
_atom_site_fract_x
_atom_site_fract_y
_atom_site_fract_z
_atom_site_occupancy
Y1 Y 0.0000 0.0000 0.0000 1
Zn1 Zn 0.5000 0.5000 0.5000 1
```

Top 7 peaks for 10° ≤ 2θ ≤ 90°, low angle first:
2θ (°), I_rel, h k l
24.83, 19, 1 0 0
35.41, 1000, 1 1 0
50.94, 172, 2 0 0
57.47, 7, 2 1 0
63.56, 341, 2 1 1
74.91, 103, 2 2 0
85.68, 144, 3 1 0